[1]
Structure and simulated PXRD pattern of Cs2In10Sn (a structure optimized by DFT (GGA-PBE); Cu Kα (weighted mean of Kα1 and Kα2)).
No peak broadening, texture or thermal motion is included.

Structure:
a = 8.2977 Å, b = 17.8039 Å, c = 6.7711 Å
α = 90.00°, β = 90.00°, γ = 90.00°
Space group Pbam (No. 55)
Inequivalent atoms, fractional coordinates:
Cs  0.1752  0.1557  0.0000 (multiplicity 4)
In  0.0376  0.3028  0.5000 (multiplicity 4)
In  0.1146  0.8416  0.5000 (multiplicity 4)
In  0.1539  0.5599  0.5000 (multiplicity 4)
In  0.1612  0.4288  0.2141 (multiplicity 8)
Sn  0.0000  0.0000  0.5000 (multiplicity 2)

Largest 6 diffraction maxima, sorted by position, 10 to 90 degrees two-theta:
d [Å]	Position (°2θ)	I/Imax	h k l
6.771	13.08	69	0 0 1
3.470	25.67	42	2 1 1
3.394	26.26	100	1 4 1
3.038	29.40	44	2 3 1
2.507	35.82	42	3 3 0
2.432	36.97	42	1 7 0

[2]
Structure and simulated PXRD pattern of CaCdIn2Cl6 (a structure optimized by DFT (GGA-PBE); Cu Kα (weighted mean of Kα1 and Kα2)).
No peak broadening, texture or thermal motion is included.

Structure:
a = 7.5180 Å, b = 7.5180 Å, c = 5.4335 Å
α = 90.00°, β = 90.00°, γ = 90.00°
Space group P4mm (No. 99)
Inequivalent atoms, fractional coordinates:
Ca  0.0000  0.0000  0.0000 (multiplicity 1)
Cd  0.5000  0.5000  0.9875 (multiplicity 1)
In  0.0000  0.5000  0.3933 (multiplicity 2)
Cl  0.0000  0.0000  0.5095 (multiplicity 1)
Cl  0.2544  0.2544  0.0528 (multiplicity 4)
Cl  0.5000  0.5000  0.5186 (multiplicity 1)

Largest 6 diffraction maxima, sorted by position, 10 to 90 degrees two-theta:
d [Å]	Position (°2θ)	I/Imax	h k l
3.800	23.41	100	1 1 1
3.759	23.67	51	2 0 0
3.091	28.88	39	2 0 1
2.658	33.72	74	2 2 0
2.202	40.99	30	2 0 2
2.178	41.46	45	3 1 1

[3]
Structure and simulated PXRD pattern of Y2CuAg3 (a structure optimized by DFT (GGA-PBE); Cu Kα (weighted mean of Kα1 and Kα2)).
No peak broadening, texture or thermal motion is included.

Structure:
a = 3.4924 Å, b = 4.6439 Å, c = 8.0278 Å
α = 90.00°, β = 90.00°, γ = 90.00°
Space group Pmm2 (No. 25)
Inequivalent atoms, fractional coordinates:
Y  0.0000  0.0000  0.0000 (multiplicity 1)
Y  0.0000  0.5000  0.4781 (multiplicity 1)
Cu  0.5000  0.0000  0.3160 (multiplicity 1)
Ag  0.5000  0.0000  0.6416 (multiplicity 1)
Ag  0.5000  0.5000  0.1635 (multiplicity 1)
Ag  0.5000  0.5000  0.8218 (multiplicity 1)

Largest 6 diffraction maxima, sorted by position, 10 to 90 degrees two-theta:
d [Å]	Position (°2θ)	I/Imax	h k l
2.636	34.01	100	1 1 1
2.320	38.82	79	0 2 0
1.932	47.03	13	1 2 0
1.741	52.55	27	1 2 2
1.395	67.09	29	2 2 0
1.393	67.20	17	1 3 1

[4]
Structure and simulated PXRD pattern of ThFeP2Ru (a structure optimized by DFT (GGA-PBE); Cu Kα (weighted mean of Kα1 and Kα2)).
No peak broadening, texture or thermal motion is included.

Structure:
a = 3.9416 Å, b = 3.9416 Å, c = 10.4340 Å
α = 90.00°, β = 90.00°, γ = 90.00°
Space group I-4m2 (No. 119)
Inequivalent atoms, fractional coordinates:
Th  0.0000  0.0000  0.0000 (multiplicity 2)
Fe  0.0000  0.5000  0.2500 (multiplicity 2)
P  0.0000  0.0000  0.3617 (multiplicity 4)
Ru  0.0000  0.5000  0.7500 (multiplicity 2)

Largest 6 diffraction maxima, sorted by position, 10 to 90 degrees two-theta:
d [Å]	Position (°2θ)	I/Imax	h k l
3.687	24.14	70	1 0 1
2.608	34.39	88	0 0 4
2.458	36.55	100	1 1 2
1.971	46.05	36	2 0 0
1.572	58.72	48	2 0 4
1.475	63.00	25	1 1 6

[5]
Structure and simulated PXRD pattern of TbThPtAu (a structure optimized by DFT (GGA-PBE); Cu Kα (weighted mean of Kα1 and Kα2)).
No peak broadening, texture or thermal motion is included.

Structure:
a = 4.4587 Å, b = 3.8767 Å, c = 11.3809 Å
α = 90.00°, β = 90.00°, γ = 90.00°
Space group Amm2 (No. 38)
Inequivalent atoms, fractional coordinates:
Tb  0.0000  0.0000  0.0000 (multiplicity 2)
Th  0.5000  0.0000  0.2752 (multiplicity 2)
Pt  0.0000  0.0000  0.7402 (multiplicity 2)
Au  0.5000  0.0000  0.5532 (multiplicity 2)

Largest 6 diffraction maxima, sorted by position, 10 to 90 degrees two-theta:
d [Å]	Position (°2θ)	I/Imax	h k l
2.845	31.44	40	0 0 4
2.833	31.58	100	1 1 1
2.317	38.87	78	1 1 3
2.229	40.46	30	2 0 0
1.938	46.87	20	0 2 0
1.755	52.12	20	2 0 4

[6]
Structure and simulated PXRD pattern of Y2PtRh (a structure optimized by DFT (GGA-PBE); Cu Kα (weighted mean of Kα1 and Kα2)).
No peak broadening, texture or thermal motion is included.

Structure:
a = 4.8951 Å, b = 4.8951 Å, c = 3.4875 Å
α = 90.00°, β = 90.00°, γ = 90.00°
Space group P4/mmm (No. 123)
Inequivalent atoms, fractional coordinates:
Y  0.0000  0.5000  0.0000 (multiplicity 2)
Pt  0.0000  0.0000  0.5000 (multiplicity 1)
Rh  0.5000  0.5000  0.5000 (multiplicity 1)

Largest 6 diffraction maxima, sorted by position, 10 to 90 degrees two-theta:
d [Å]	Position (°2θ)	I/Imax	h k l
2.457	36.58	100	1 1 1
2.448	36.72	49	2 0 0
1.731	52.90	17	2 2 0
1.420	65.75	18	2 0 2
1.415	66.03	35	3 1 1
1.095	89.51	16	4 2 0